[1]
This entry pairs a crystal structure of Nd2PdO4 with its computed powder X-ray diffraction pattern. Radiation: Cu Kα (λ = 1.5418 Å). Structure: a structure optimized by DFT (GGA-PBE).
Intensities are scaled so that the largest is 1000.

Principal peaks in the range 2θ = 10–90°, in order of falling intensity:
hkl, 2theta, I (rel.)
2 1 1, 28.22, 1000
2 0 2, 35.33, 490
4 1 1, 48.49, 458
3 1 0, 35.11, 401
2 1 3, 48.82, 309
3 3 2, 55.87, 247
1 1 2, 31.55, 176
2 2 0, 31.30, 174
4 1 3, 63.89, 145
1 0 2, 29.49, 135
5 3 0, 67.59, 128
0 0 2, 27.30, 112

Structure:
```
data_Nd2PdO4
_chemical_formula_sum 'Nd8 Pd4 O16'
_symmetry_space_group_name_H-M 'P 4/n c c'
_symmetry_Int_Tables_number 130
_cell_length_a 8.082
_cell_length_b 8.082
_cell_length_c 6.533
_cell_angle_alpha 90.00
_cell_angle_beta 90.00
_cell_angle_gamma 90.00
loop_
_symmetry_equiv_pos_as_xyz
'x,y,z'
'-x,-y,-z'
'-y+1/2,x,z'
'y+1/2,-x,-z'
'-x+1/2,-y+1/2,z'
'x+1/2,y+1/2,-z'
'y,-x+1/2,z'
'-y,x+1/2,-z'
'x+1/2,-y,-z+1/2'
'-x+1/2,y,z+1/2'
'-y,-x,-z+1/2'
'y,x,z+1/2'
'-x,y+1/2,-z+1/2'
'x,-y+1/2,z+1/2'
'y+1/2,x+1/2,-z+1/2'
'-y+1/2,-x+1/2,z+1/2'
loop_
_atom_site_label
_atom_site_type_symbol
_atom_site_fract_x
_atom_site_fract_y
_atom_site_fract_z
Nd1 Nd 0.070 0.570 0.250
Pd1 Pd 0.250 0.250 0.063
O1 O 0.004 0.180 0.577
```

[2]
This entry pairs a crystal structure of Sc2Cu2SiGe with its computed powder X-ray diffraction pattern. Radiation: Cu Kα (λ = 1.5418 Å). Structure: a structure optimized by DFT (GGA-PBE).
Intensities are scaled so that the largest is 1000.

Principal peaks in the range 2θ = 10–90°, in order of falling intensity:
hkl, 2theta, I (rel.)
0 2 0, 43.28, 1000
1 1 1, 26.10, 475
4 3 0, 79.39, 298
5 1 -3, 51.24, 210
4 2 -4, 62.87, 153
1 3 1, 69.26, 79
5 3 -3, 85.29, 57
2 0 2, 30.23, 39
2 1 6, 71.33, 12
3 0 -2, 27.72, 12
1 1 0, 23.18, 12
0 1 0, 21.25, 10

Structure:
```
data_Sc2Cu2SiGe
_chemical_formula_sum 'Sc8 Cu8 Si4 Ge4'
_symmetry_space_group_name_H-M 'P 1 m 1'
_symmetry_Int_Tables_number 6
_symmetry_space_group_name_Hall 'P -2y'
_cell_length_a 10.242
_cell_length_b 4.181
_cell_length_c 10.243
_cell_angle_alpha 90.00
_cell_angle_beta 109.48
_cell_angle_gamma 90.00
loop_
_atom_site_label
_atom_site_type_symbol
_atom_site_fract_x
_atom_site_fract_y
_atom_site_fract_z
Sc1 Sc 0.000 0.000 0.000
Sc2 Sc 0.121 0.500 0.375
Sc3 Sc 0.246 0.000 0.748
Sc4 Sc 0.375 0.500 0.127
Sc5 Sc 0.498 0.000 0.501
Sc6 Sc 0.623 0.500 0.873
Sc7 Sc 0.748 0.000 0.250
Sc8 Sc 0.873 0.500 0.624
Cu1 Cu 0.128 0.500 0.129
Cu2 Cu 0.244 0.000 0.495
Cu3 Cu 0.373 0.500 0.875
Cu4 Cu 0.499 0.000 0.255
Cu5 Cu 0.626 0.500 0.624
Cu6 Cu 0.749 0.000 0.996
Cu7 Cu 0.872 0.500 0.378
Cu8 Cu 0.994 0.000 0.746
Si1 Si 0.249 0.000 0.251
Si2 Si 0.623 0.500 0.376
Si3 Si 0.748 0.000 0.749
Si4 Si 0.997 0.000 0.499
Ge1 Ge 0.123 0.500 0.875
Ge2 Ge 0.372 0.500 0.624
Ge3 Ge 0.498 0.000 0.000
Ge4 Ge 0.873 0.500 0.125
```

[3]
This entry pairs a crystal structure of PrNdPI2 with its computed powder X-ray diffraction pattern. Radiation: Cu Kα (λ = 1.5418 Å). Structure: a structure optimized by DFT (GGA-PBE).
Intensities are scaled so that the largest is 1000.

Principal peaks in the range 2θ = 10–90°, in order of falling intensity:
hkl, 2theta, I (rel.)
0 1 2, 28.88, 1000
1 1 0, 42.44, 289
1 0 4, 40.13, 267
1 0 0, 24.12, 227
2 0 2, 52.15, 190
1 2 2, 69.41, 161
0 0 2, 15.64, 99
1 1 4, 53.85, 93
0 1 3, 33.96, 83
1 1 6, 66.12, 82
0 2 4, 59.83, 82
2 1 4, 76.08, 81

Structure:
```
data_PrNdPI2
_chemical_formula_sum 'Pr1 Nd1 P1 I2'
_symmetry_space_group_name_H-M 'P 3 m 1'
_symmetry_Int_Tables_number 156
_symmetry_space_group_name_Hall 'P 3 -2"'
_cell_length_a 4.2600
_cell_length_b 4.2600
_cell_length_c 11.3334
_cell_angle_alpha 90.00
_cell_angle_beta 90.00
_cell_angle_gamma 120.00
loop_
_atom_site_label
_atom_site_type_symbol
_atom_site_fract_x
_atom_site_fract_y
_atom_site_fract_z
Pr1 Pr 0.0000 0.0000 0.0000
Nd1 Nd 0.6667 0.3333 0.2779
P1 P 0.3333 0.6667 0.1406
I1 I 0.0000 0.0000 0.4636
I2 I 0.6667 0.3333 0.8120
```

[4]
This entry pairs a crystal structure of NbIBrClO with its computed powder X-ray diffraction pattern. Radiation: Cu Kα (λ = 1.5418 Å). Structure: a structure optimized by DFT (GGA-PBE).
Intensities are scaled so that the largest is 1000.

Principal peaks in the range 2θ = 10–90°, in order of falling intensity:
hkl, 2theta, I (rel.)
1 1 -1, 23.78, 1000
2 0 -4, 29.91, 454
4 0 0, 28.74, 398
2 0 -2, 15.66, 385
5 1 -1, 39.74, 309
0 0 2, 17.23, 296
3 1 -5, 44.01, 284
5 1 0, 42.96, 228
1 1 2, 31.52, 187
1 1 -3, 32.37, 179
0 2 0, 45.78, 174
3 1 -2, 29.77, 169

Structure:
```
data_NbIBrClO
_chemical_formula_sum 'Nb4 I4 Br4 Cl4 O4'
_symmetry_space_group_name_H-M 'C 1 2 1'
_symmetry_Int_Tables_number 5
_symmetry_space_group_name_Hall 'C 2y'
_cell_length_a 14.531
_cell_length_b 3.964
_cell_length_c 12.038
_cell_angle_alpha 90.00
_cell_angle_beta 121.24
_cell_angle_gamma 90.00
loop_
_atom_site_label
_atom_site_type_symbol
_atom_site_fract_x
_atom_site_fract_y
_atom_site_fract_z
Nb1 Nb 0.121 0.000 0.198
I1 I 0.167 0.551 0.706
Br1 Br 0.096 0.058 0.956
Cl1 Cl 0.107 0.051 0.379
O1 O 0.115 0.542 0.186
```

[5]
This entry pairs a crystal structure of Cu3Sn2Pt2 with its computed powder X-ray diffraction pattern. Radiation: Cu Kα (λ = 1.5418 Å). Structure: a structure optimized by DFT (GGA-PBE).
Intensities are scaled so that the largest is 1000.

Principal peaks in the range 2θ = 10–90°, in order of falling intensity:
hkl, 2theta, I (rel.)
1 1 0, 42.33, 1000
1 0 6, 42.43, 950
3 0 0, 77.47, 490
1 0 1, 24.74, 487
2 0 6, 61.49, 314
1 0 2, 26.67, 306
1 1 12, 87.75, 238
1 0 5, 37.67, 231
0 0 4, 22.75, 224
1 1 4, 48.59, 181
1 0 10, 64.70, 88
1 0 3, 29.62, 82

Structure:
```
data_Cu3Sn2Pt2
_chemical_formula_sum 'Cu6 Sn4 Pt4'
_symmetry_space_group_name_H-M 'P 63/m m c'
_symmetry_Int_Tables_number 194
_symmetry_space_group_name_Hall '-P 6c 2c'
_cell_length_a 4.2703
_cell_length_b 4.2703
_cell_length_c 15.6371
_cell_angle_alpha 90.00
_cell_angle_beta 90.00
_cell_angle_gamma 120.00
loop_
_atom_site_label
_atom_site_type_symbol
_atom_site_fract_x
_atom_site_fract_y
_atom_site_fract_z
Cu1 Cu 0.0000 0.0000 0.1714
Cu2 Cu 0.3333 0.6667 0.2500
Sn1 Sn 0.3333 0.6667 0.5779
Pt1 Pt 0.0000 0.0000 0.0000
Pt2 Pt 0.3333 0.6667 0.7500
```

[6]
This entry pairs a crystal structure of Nd3SmSe3O4 with its computed powder X-ray diffraction pattern. Radiation: Cu Kα (λ = 1.5418 Å). Structure: a structure optimized by DFT (GGA-PBE).
Intensities are scaled so that the largest is 1000.

Principal peaks in the range 2θ = 10–90°, in order of falling intensity:
hkl, 2theta, I (rel.)
0 1 3, 30.64, 1000
2 1 1, 31.68, 561
2 0 2, 25.26, 552
2 0 4, 35.10, 292
2 1 5, 47.28, 226
0 2 0, 45.55, 200
4 1 3, 53.63, 167
2 1 7, 59.61, 149
2 2 2, 52.80, 148
0 0 6, 42.17, 144
2 2 4, 58.78, 133
4 0 0, 42.90, 103

Structure:
```
data_Nd3SmSe3O4
_chemical_formula_sum 'Nd6 Sm2 Se6 O8'
_symmetry_space_group_name_H-M 'A m m 2'
_symmetry_Int_Tables_number 38
_symmetry_space_group_name_Hall 'A 2 -2'
_cell_length_a 8.433
_cell_length_b 3.983
_cell_length_c 12.858
_cell_angle_alpha 90.00
_cell_angle_beta 90.00
_cell_angle_gamma 90.00
loop_
_atom_site_label
_atom_site_type_symbol
_atom_site_fract_x
_atom_site_fract_y
_atom_site_fract_z
Nd1 Nd 0.000 0.000 0.000
Nd2 Nd 0.238 0.000 0.685
Sm1 Sm 0.500 0.000 0.019
Se1 Se 0.000 0.000 0.313
Se2 Se 0.351 0.000 0.358
O1 O 0.000 0.000 0.589
O2 O 0.246 0.000 0.087
O3 O 0.500 0.000 0.615
```

[7]
This entry pairs a crystal structure of Al2Ag2Te3Se with its computed powder X-ray diffraction pattern. Radiation: Cu Kα (λ = 1.5418 Å). Structure: a structure optimized by DFT (GGA-PBE).
Intensities are scaled so that the largest is 1000.

Principal peaks in the range 2θ = 10–90°, in order of falling intensity:
hkl, 2theta, I (rel.)
3 1 -1, 25.09, 1000
1 1 1, 24.85, 920
2 2 -2, 40.23, 481
4 2 0, 41.83, 440
1 1 -3, 47.86, 282
2 0 2, 41.66, 225
6 0 -2, 42.28, 217
1 3 1, 47.74, 173
0 0 1, 15.83, 148
5 1 1, 50.63, 141
5 1 -3, 48.26, 139
7 1 -1, 51.03, 138

Structure:
```
data_Al2Ag2Te3Se
_chemical_formula_sum 'Al4 Ag4 Te6 Se2'
_symmetry_space_group_name_H-M 'C 1 2 1'
_symmetry_Int_Tables_number 5
_symmetry_space_group_name_Hall 'C 2y'
_cell_length_a 13.275
_cell_length_b 6.362
_cell_length_c 6.320
_cell_angle_alpha 90.00
_cell_angle_beta 117.62
_cell_angle_gamma 90.00
loop_
_atom_site_label
_atom_site_type_symbol
_atom_site_fract_x
_atom_site_fract_y
_atom_site_fract_z
Al1 Al 0.120 0.000 0.383
Ag1 Ag 0.121 0.521 0.863
Te1 Te 0.000 0.233 0.000
Te2 Te 0.250 0.260 0.729
Se1 Se 0.000 0.789 0.500
```

[8]
This entry pairs a crystal structure of DyScZn2Sn2 with its computed powder X-ray diffraction pattern. Radiation: Cu Kα (λ = 1.5418 Å). Structure: a structure optimized by DFT (GGA-PBE).
Intensities are scaled so that the largest is 1000.

Principal peaks in the range 2θ = 10–90°, in order of falling intensity:
hkl, 2theta, I (rel.)
1 0 4, 32.97, 1000
1 1 0, 40.52, 750
1 0 3, 29.02, 279
2 0 4, 53.19, 256
1 0 2, 25.87, 256
2 1 4, 68.94, 234
1 0 7, 47.81, 227
1 1 8, 64.17, 163
3 0 0, 73.71, 128
2 1 7, 78.93, 106
2 0 7, 64.42, 93
2 2 0, 87.67, 84

Structure:
```
data_DyScZn2Sn2
_chemical_formula_sum 'Dy2 Sc2 Zn4 Sn4'
_symmetry_space_group_name_H-M 'P 63/m m c'
_symmetry_Int_Tables_number 194
_symmetry_space_group_name_Hall '-P 6c 2c'
_cell_length_a 4.4525
_cell_length_b 4.4525
_cell_length_c 15.3118
_cell_angle_alpha 90.00
_cell_angle_beta 90.00
_cell_angle_gamma 120.00
loop_
_atom_site_label
_atom_site_type_symbol
_atom_site_fract_x
_atom_site_fract_y
_atom_site_fract_z
Dy1 Dy 0.0000 0.0000 0.0000
Sc1 Sc 0.0000 0.0000 0.2500
Zn1 Zn 0.3333 0.6667 0.1637
Sn1 Sn 0.3333 0.6667 0.6167
```